1.
For InSbMo2W, a DFT-relaxed cell (PBE, Alexandria) gives the simulated powder diffractogram in this record (Cu Kα (weighted mean of Kα1 and Kα2)).
Lines closer than 0.1° are merged.

Top 10 peaks for 10 to 90 degrees two-theta, by intensity:
index, 2theta, I (rel.)
1 1 1, 31.6, 100
2 2 0, 52.8, 94
2 0 0, 36.7, 91
1 0 0, 18.1, 48
0 0 2, 36.6, 46
1 1 0, 25.7, 34
2 2 2, 66.0, 32
4 2 0, 89.4, 29
3 1 1, 62.9, 27
2 1 0, 41.1, 24

Cell and atoms:
a b c (Å): 4.9016 4.9016 4.9148
angles (deg): 90.00 90.00 90.00
Element x y z (fractional)
In: 0.0000 0.0000 0.0000
Sb: 0.5000 0.5000 0.5000
Mo: 0.0000 0.5000 0.5000
Mo: 0.5000 0.0000 0.5000
W: 0.5000 0.5000 0.0000

2.
For MgOsRh, a DFT-relaxed cell (PBE, Alexandria) gives the simulated powder diffractogram in this record (Cu Kα (weighted mean of Kα1 and Kα2)).
Lines closer than 0.1° are merged.

Top 10 peaks for 10 to 90 degrees two-theta, by intensity:
index, 2theta, I (rel.)
1 0 3, 42.6, 100
0 0 2, 13.3, 56
1 0 0, 37.1, 29
0 0 6, 40.8, 24
1 0 1, 37.8, 20
1 1 6, 81.4, 19
1 0 9, 75.5, 18
1 1 0, 66.9, 17
1 0 6, 56.3, 17
2 0 3, 82.6, 15

Cell and atoms:
a b c (Å): 2.7958 2.7958 13.2765
angles (deg): 90.00 90.00 120.00
Element x y z (fractional)
Mg: 0.0000 0.0000 0.1720
Mg: 0.0000 0.0000 0.8280
Os: 0.0000 0.0000 0.5000
Os: 0.3333 0.6667 0.0000
Rh: 0.3333 0.6667 0.3392
Rh: 0.3333 0.6667 0.6608